Theoretical powder X-ray diffraction pattern
Compound: CeAl3P2O14
Radiation: λ = 1.5418 Å (Cu Kα)
Structure: a cell relaxed with PBE
Neutral-atom scattering factors, no anomalous dispersion.

Unit cell a=6.9509 b=6.9509 c=15.9549 alpha=90.00 beta=90.00 gamma=120.00
Space group R-3m (No. 166, hexagonal axes)
Inequivalent atoms, fractional coordinates:
Ce (0.0000, 0.0000, 0.0000) (multiplicity 3)
Al (0.0000, 0.5000, 0.5000) (multiplicity 9)
P (0.0000, 0.0000, 0.3194) (multiplicity 6)
O (0.0000, 0.0000, 0.4148) (multiplicity 6)
O (0.0920, 0.5460, 0.3836) (multiplicity 18)
O (0.1089, 0.5545, 0.7960) (multiplicity 18)

Most intense lines, 2θ = 10–80°, sorted by position:
d/Å  Position (°2θ)  I_rel  index
5.632  15.7  100.0  1 0 1
3.475  25.6  60.3  1 1 0
2.909  30.7  94.4  1 1 3
2.816  31.8  20.2  2 0 2
2.188  41.3  37.2  1 2 2
2.132  42.4  33.4  1 0 7
1.877  48.5  35.1  0 3 3
1.738  52.7  22.2  2 2 0